(1)
This entry pairs a crystal structure of Ce4SmTc2 with its simulated powder diffraction line list. Radiation: Cu Kα. Structure: a DFT-relaxed cell (GGA-PBE, Alexandria).
No peak broadening, texture or thermal motion is included.

Top 6 peaks for 2θ = 5–70°, low angle first:
d = 3.234 Å, I = 72; d = 2.929 Å, I = 100; d = 2.865 Å, I = 72; d = 2.747 Å, I = 91; d = 2.717 Å, I = 68; d = 2.329 Å, I = 94

Atomic structure:
Cell: 7.5218 6.3594 8.2534 Å, 90.00 114.51 90.00°
Atoms (fractional coordinates):
Ce 0.0971 0.2500 0.4541
Ce 0.1862 0.7500 0.2340
Ce 0.2931 0.0197 0.9251
Ce 0.2931 0.4803 0.9251
Ce 0.7069 0.5197 0.0749
Ce 0.7069 0.9803 0.0749
Ce 0.8138 0.2500 0.7660
Ce 0.9029 0.7500 0.5459
Sm 0.4937 0.2500 0.3525
Sm 0.5063 0.7500 0.6475
Tc 0.0575 0.2500 0.1569
Tc 0.4805 0.2500 0.7253
Tc 0.5195 0.7500 0.2747
Tc 0.9425 0.7500 0.8431

(2)
This entry pairs a crystal structure of Nd4Pd5Au3 with its simulated powder diffraction line list. Radiation: Cu Kα. Structure: a DFT-relaxed cell (GGA-PBE, Alexandria).
No peak broadening, texture or thermal motion is included.

Top 6 peaks for 2θ = 5–70°, low angle first:
d = 3.205 Å, I = 73; d = 2.903 Å, I = 48; d = 2.702 Å, I = 67; d = 2.517 Å, I = 98; d = 2.469 Å, I = 100; d = 2.322 Å, I = 50

Atomic structure:
Cell: 7.4070 7.4070 9.8385 Å, 121.60 121.60 38.94°
Atoms (fractional coordinates):
Nd 0.0396 0.0396 0.3109
Nd 0.2542 0.2542 0.7534
Nd 0.7458 0.7458 0.2466
Nd 0.9604 0.9604 0.6891
Pd 0.0000 0.0000 0.0000
Pd 0.3043 0.3043 0.4912
Pd 0.4242 0.4242 0.3405
Pd 0.5758 0.5758 0.6595
Pd 0.6957 0.6957 0.5088
Au 0.2124 0.2124 0.0337
Au 0.5000 0.5000 0.0000
Au 0.7876 0.7876 0.9663

(3)
This entry pairs a crystal structure of PrDy4 with its simulated powder diffraction line list. Radiation: Cu Kα. Structure: a DFT-relaxed cell (GGA-PBE, Alexandria).
No peak broadening, texture or thermal motion is included.

Top 6 peaks for 2θ = 5–70°, low angle first:
d = 2.919 Å, I = 100; d = 2.910 Å, I = 33; d = 2.526 Å, I = 67; d = 1.788 Å, I = 24; d = 1.784 Å, I = 24; d = 1.525 Å, I = 33

Atomic structure:
Cell: 3.5765 3.5765 14.6908 Å, 96.91 96.91 60.01°
Atoms (fractional coordinates):
Pr 0.0000 0.0000 0.0000
Dy 0.1996 0.1996 0.5987
Dy 0.4011 0.4011 0.2045
Dy 0.5989 0.5989 0.7955
Dy 0.8004 0.8004 0.4013

(4)
This entry pairs a crystal structure of Pr5Pa3N8 with its simulated powder diffraction line list. Radiation: Cu Kα. Structure: a DFT-relaxed cell (GGA-PBE, Alexandria).
No peak broadening, texture or thermal motion is included.

Top 6 peaks for 2θ = 5–70°, low angle first:
d = 2.961 Å, I = 34; d = 2.946 Å, I = 100; d = 2.555 Å, I = 93; d = 1.810 Å, I = 32; d = 1.803 Å, I = 33; d = 1.539 Å, I = 47

Atomic structure:
Cell: 7.2395 7.2395 7.2395 Å, 59.75 59.75 59.75°
Atoms (fractional coordinates):
Pr 0.0000 0.0000 0.0000
Pr 0.0000 0.5000 0.5000
Pr 0.5000 0.0000 0.5000
Pr 0.5000 0.5000 0.0000
Pr 0.5000 0.5000 0.5000
Pa 0.0000 0.0000 0.5000
Pa 0.0000 0.5000 0.0000
Pa 0.5000 0.0000 0.0000
N 0.2145 0.7497 0.7497
N 0.2357 0.2357 0.2357
N 0.2503 0.2503 0.7855
N 0.2503 0.7855 0.2503
N 0.7497 0.2145 0.7497
N 0.7497 0.7497 0.2145
N 0.7643 0.7643 0.7643
N 0.7855 0.2503 0.2503

(5)
This entry pairs a crystal structure of Er5ScTl2 with its simulated powder diffraction line list. Radiation: Cu Kα. Structure: a DFT-relaxed cell (GGA-PBE, Alexandria).
No peak broadening, texture or thermal motion is included.

Top 6 peaks for 2θ = 5–70°, low angle first:
d = 2.819 Å, I = 58; d = 2.699 Å, I = 100; d = 2.682 Å, I = 46; d = 2.598 Å, I = 44; d = 2.282 Å, I = 26; d = 1.462 Å, I = 31

Atomic structure:
Cell: 8.3618 8.3618 8.3618 Å, 155.98 103.17 81.88°
Atoms (fractional coordinates):
Er 0.0000 0.0000 0.0000
Er 0.1046 0.3693 0.7354
Er 0.3661 0.6307 0.7354
Er 0.6339 0.3693 0.2646
Er 0.8954 0.6307 0.2646
Sc 0.5000 0.0000 0.5000
Tl 0.2584 0.2584 0.0000
Tl 0.7416 0.7416 0.0000